This entry pairs a crystal structure of TbPaN3 with its calculated PXRD pattern. Radiation: Cu Kα (weighted mean of Kα1 and Kα2). Structure: a PBE-relaxed structure.
Neutral-atom scattering factors, no anomalous dispersion.

Crystal structure
```
TbPaN3
1.0
6.681 -1.816 0.000
6.681 1.816 0.000
-3.326 0.000 6.010
Tb Pa N
2 2 6
Direct
0.119 0.119 0.284 Tb
0.881 0.881 0.716 Tb
0.369 0.369 0.232 Pa
0.631 0.631 0.768 Pa
0.092 0.092 0.918 N
0.229 0.229 0.711 N
0.440 0.440 0.602 N
0.560 0.560 0.398 N
0.771 0.771 0.289 N
0.908 0.908 0.082 N
```

Main lines, in order of rising 2θ (10 to 90 degrees two-theta):
2θ/deg  I_rel
27.79  55
29.73  60
30.61  100
31.58  56
32.02  67
42.14  25
46.93  38
50.24  19
56.23  20
59.96  20

***

This entry pairs a crystal structure of TbPa4N5 with its calculated PXRD pattern. Radiation: Cu Kα (weighted mean of Kα1 and Kα2). Structure: a PBE-relaxed structure.
Neutral-atom scattering factors, no anomalous dispersion.

Crystal structure
```
TbPa4N5
1.0
-3.910 3.910 2.473
3.910 -3.910 2.473
3.910 3.910 -2.473
Tb Pa N
1 4 5
Direct
0.000 0.000 0.000 Tb
0.201 0.399 0.600 Pa
0.399 0.799 0.198 Pa
0.601 0.201 0.802 Pa
0.799 0.601 0.400 Pa
0.101 0.698 0.800 N
0.302 0.101 0.403 N
0.500 0.500 0.000 N
0.698 0.899 0.597 N
0.899 0.302 0.200 N
```

Main lines, in order of rising 2θ (10 to 90 degrees two-theta):
2θ/deg  I_rel
16.03  1
21.26  1
31.33  100
36.33  66
52.33  47
62.27  46
65.37  16
77.16  7
85.61  20
88.40  22

***

This entry pairs a crystal structure of Tb2PaTe2N2 with its calculated PXRD pattern. Radiation: Cu Kα (weighted mean of Kα1 and Kα2). Structure: a PBE-relaxed structure.
Neutral-atom scattering factors, no anomalous dispersion.

Crystal structure
```
Tb2PaTe2N2
1.0
-2.200 2.200 8.178
2.200 -2.200 8.178
2.200 2.200 -8.178
Tb Pa Te N
2 1 2 2
Direct
0.104 0.104 0.000 Tb
0.896 0.896 0.000 Tb
0.500 0.500 0.000 Pa
0.314 0.314 0.000 Te
0.686 0.686 0.000 Te
0.000 0.500 0.500 N
0.500 0.000 0.500 N
```

Main lines, in order of rising 2θ (10 to 90 degrees two-theta):
2θ/deg  I_rel
10.82  16
28.70  78
34.16  100
41.03  34
54.42  53
59.42  12
64.35  13
67.30  14
70.36  12
84.81  15

***

This entry pairs a crystal structure of Pa3TcN7 with its calculated PXRD pattern. Radiation: Cu Kα (weighted mean of Kα1 and Kα2). Structure: a PBE-relaxed structure.
Neutral-atom scattering factors, no anomalous dispersion.

Crystal structure
```
Pa3TcN7
1.0
3.803 -5.322 0.000
3.803 5.322 0.000
0.000 0.000 7.463
Pa Tc N
6 2 14
Direct
0.031 0.031 0.000 Pa
0.036 0.500 0.259 Pa
0.500 0.036 0.741 Pa
0.500 0.964 0.241 Pa
0.964 0.500 0.759 Pa
0.969 0.969 0.500 Pa
0.468 0.468 0.500 Tc
0.532 0.532 0.000 Tc
0.127 0.873 0.750 N
0.139 0.861 0.250 N
0.142 0.400 0.987 N
0.178 0.429 0.543 N
0.400 0.142 0.013 N
0.429 0.178 0.457 N
0.438 0.562 0.250 N
0.562 0.438 0.750 N
0.571 0.822 0.957 N
0.600 0.858 0.513 N
0.822 0.571 0.043 N
0.858 0.600 0.487 N
0.861 0.139 0.750 N
0.873 0.127 0.250 N
```

Main lines, in order of rising 2θ (10 to 90 degrees two-theta):
2θ/deg  I_rel
28.86  99
29.23  100
33.66  78
47.84  11
48.35  51
48.81  15
57.06  23
57.53  12
57.70  28
80.71  12

***

This entry pairs a crystal structure of Pa4TcN7 with its calculated PXRD pattern. Radiation: Cu Kα (weighted mean of Kα1 and Kα2). Structure: a PBE-relaxed structure.
Neutral-atom scattering factors, no anomalous dispersion.

Crystal structure
```
Pa4TcN7
1.0
6.448 -1.922 0.000
6.448 1.922 0.000
-6.262 0.000 6.655
Pa Tc N
4 1 7
Direct
0.079 0.079 0.374 Pa
0.253 0.253 0.169 Pa
0.747 0.747 0.831 Pa
0.921 0.921 0.626 Pa
0.500 0.500 0.000 Tc
0.000 0.000 0.000 N
0.128 0.128 0.677 N
0.303 0.303 0.461 N
0.399 0.399 0.113 N
0.601 0.601 0.887 N
0.697 0.697 0.539 N
0.872 0.872 0.323 N
```

Main lines, in order of rising 2θ (10 to 90 degrees two-theta):
2θ/deg  I_rel
27.68  21
30.54  97
31.44  100
32.08  79
44.68  17
46.67  25
47.28  22
54.48  20
55.71  21
57.34  34

***

This entry pairs a crystal structure of PaTc2N4 with its calculated PXRD pattern. Radiation: Cu Kα (weighted mean of Kα1 and Kα2). Structure: a PBE-relaxed structure.
Neutral-atom scattering factors, no anomalous dispersion.

Crystal structure
```
PaTc2N4
1.0
3.391 -4.883 0.000
3.391 4.883 0.000
-3.390 0.000 4.883
Pa Tc N
2 4 8
Direct
0.000 0.000 0.000 Pa
0.750 0.250 0.500 Pa
0.346 0.127 0.721 Tc
0.374 0.596 0.720 Tc
0.404 0.626 0.280 Tc
0.873 0.654 0.279 Tc
0.062 0.397 0.306 N
0.091 0.758 0.693 N
0.147 0.342 0.834 N
0.242 0.909 0.307 N
0.505 0.313 0.166 N
0.603 0.938 0.694 N
0.658 0.853 0.166 N
0.687 0.495 0.834 N
```

Main lines, in order of rising 2θ (10 to 90 degrees two-theta):
2θ/deg  I_rel
25.80  37
31.84  100
32.13  36
37.16  14
42.05  32
49.45  35
49.65  30
53.04  17
67.22  17
69.89  13

***

This entry pairs a crystal structure of ThPa2N4 with its calculated PXRD pattern. Radiation: Cu Kα (weighted mean of Kα1 and Kα2). Structure: a PBE-relaxed structure.
Neutral-atom scattering factors, no anomalous dispersion.

Crystal structure
```
ThPa2N4
1.0
1.734 -5.809 0.000
1.734 5.809 0.000
0.000 0.000 10.845
Th Pa N
2 4 8
Direct
0.115 0.885 0.750 Th
0.885 0.115 0.250 Th
0.370 0.630 0.571 Pa
0.370 0.630 0.929 Pa
0.630 0.370 0.071 Pa
0.630 0.370 0.429 Pa
0.000 0.000 0.000 N
0.000 0.000 0.500 N
0.277 0.723 0.108 N
0.277 0.723 0.392 N
0.469 0.531 0.750 N
0.531 0.469 0.250 N
0.723 0.277 0.608 N
0.723 0.277 0.892 N
```

Main lines, in order of rising 2θ (10 to 90 degrees two-theta):
2θ/deg  I_rel
28.08  40
29.09  100
30.78  40
31.57  43
35.72  31
38.60  31
50.20  34
53.70  20
55.30  14
61.40  26

***

This entry pairs a crystal structure of Th2Pa3N8 with its calculated PXRD pattern. Radiation: Cu Kα (weighted mean of Kα1 and Kα2). Structure: a PBE-relaxed structure.
Neutral-atom scattering factors, no anomalous dispersion.

Crystal structure
```
Th2Pa3N8
1.0
7.119 0.000 0.000
-3.559 6.165 0.000
0.000 0.000 10.474
Th Pa N
4 6 16
Direct
0.333 0.667 0.000 Th
0.333 0.667 0.341 Th
0.667 0.333 0.500 Th
0.667 0.333 0.841 Th
0.166 0.333 0.709 Pa
0.166 0.834 0.709 Pa
0.333 0.166 0.209 Pa
0.667 0.834 0.709 Pa
0.834 0.166 0.209 Pa
0.834 0.667 0.209 Pa
0.000 0.000 0.294 N
0.000 0.000 0.794 N
0.055 0.528 0.837 N
0.183 0.366 0.150 N
0.183 0.817 0.150 N
0.333 0.667 0.598 N
0.366 0.183 0.650 N
0.472 0.528 0.837 N
0.472 0.945 0.837 N
0.528 0.055 0.337 N
0.528 0.472 0.337 N
0.634 0.817 0.150 N
0.667 0.333 0.098 N
0.817 0.183 0.650 N
0.817 0.634 0.650 N
0.945 0.472 0.337 N
```

Main lines, in order of rising 2θ (10 to 90 degrees two-theta):
2θ/deg  I_rel
16.93  35
22.27  23
28.97  31
29.40  56
30.22  100
30.36  39
38.98  17
46.88  37
51.34  33
52.84  21

***

This entry pairs a crystal structure of Th2PaWN6 with its calculated PXRD pattern. Radiation: Cu Kα (weighted mean of Kα1 and Kα2). Structure: a PBE-relaxed structure.
Neutral-atom scattering factors, no anomalous dispersion.

Crystal structure
```
Th2PaWN6
1.0
5.549 0.000 0.000
0.000 5.549 0.000
0.000 0.000 5.165
Th Pa W N
2 1 1 6
Direct
0.000 0.500 0.000 Th
0.500 0.000 0.000 Th
0.000 0.000 0.568 Pa
0.500 0.500 0.589 W
0.000 0.000 0.141 N
0.261 0.261 0.733 N
0.261 0.739 0.733 N
0.500 0.500 0.230 N
0.739 0.261 0.733 N
0.739 0.739 0.733 N
```

Main lines, in order of rising 2θ (10 to 90 degrees two-theta):
2θ/deg  I_rel
28.57  100
32.27  38
34.74  11
41.88  10
46.28  18
48.14  23
55.29  33
58.55  9
59.14  11
87.16  9

***

This entry pairs a crystal structure of Pa6TiN12 with its calculated PXRD pattern. Radiation: Cu Kα (weighted mean of Kα1 and Kα2). Structure: a PBE-relaxed structure.
Neutral-atom scattering factors, no anomalous dispersion.

Crystal structure
```
Pa6TiN12
1.0
4.972 2.871 3.140
-4.972 2.871 3.140
0.000 -5.741 3.140
Pa Ti N
6 1 12
Direct
0.101 0.636 0.789 Pa
0.211 0.899 0.364 Pa
0.364 0.211 0.899 Pa
0.636 0.789 0.101 Pa
0.789 0.101 0.636 Pa
0.899 0.364 0.211 Pa
0.500 0.500 0.500 Ti
0.062 0.325 0.904 N
0.096 0.938 0.675 N
0.189 0.558 0.436 N
0.325 0.904 0.062 N
0.436 0.189 0.558 N
0.442 0.564 0.811 N
0.558 0.436 0.189 N
0.564 0.811 0.442 N
0.675 0.096 0.938 N
0.811 0.442 0.564 N
0.904 0.062 0.325 N
0.938 0.675 0.096 N
```

Main lines, in order of rising 2θ (10 to 90 degrees two-theta):
2θ/deg  I_rel
17.84  16
28.42  35
29.02  100
33.46  54
47.66  29
48.44  27
56.43  16
57.12  28
57.46  13
60.16  10